For Sm2NiPbO6, DFT lattice parameters and positions (PBE+U) gives the computed powder X-ray diffraction pattern in this record (Cu Kα (λ = 1.5418 Å)).

Structural model:
```
data_Sm2NiPbO6
_cell_length_a 5.567
_cell_length_b 5.885
_cell_length_c 9.741
_cell_angle_alpha 90.00
_cell_angle_beta 123.46
_cell_angle_gamma 90.00
_symmetry_space_group_name_H-M 'P 1 21/c 1'
_symmetry_Int_Tables_number 14
_symmetry_space_group_name_Hall '-P 2ybc'
loop_
_atom_site_label
_atom_site_type_symbol
_atom_site_fract_x
_atom_site_fract_y
_atom_site_fract_z
Sm1 Sm 0.223 0.067 0.248
Ni1 Ni 0.000 0.000 0.500
Pb1 Pb 0.500 0.000 0.000
O1 O 0.119 0.199 0.934
O2 O 0.232 0.692 0.931
O3 O 0.374 0.054 0.744
```

Top 6 peaks for 2θ = 10–90°, by intensity:
- (1 1 1), 30.9°, rel. 100.0
- (1 1 -3), 31.5°, rel. 96.4
- (2 0 -2), 32.2°, rel. 43.5
- (0 2 0), 30.4°, rel. 39.2
- (2 2 -2), 44.8°, rel. 33.7
- (0 0 4), 44.6°, rel. 24.7